The following is a simulated X-ray diffraction stick pattern of Ni4PdN. It was derived from a cell relaxed with PBE, using Cu Kα (weighted mean of Kα1 and Kα2).
No peak broadening, texture or thermal motion is included.

Peak list (8 most intense, 10° ≤ 2θ ≤ 90°, sorted by position)
d [Å]  I (rel.)
2.284  23
2.170  37
2.043  100
2.002  44
1.331  16
1.227  9
1.142  9
1.111  10

Cell: 6.231 6.231 5.134 Å, 105.13 105.13 43.65°
Atoms (fractional coordinates):
Ni1 0.012 0.184 0.437
Ni2 0.184 0.012 0.937
Ni3 0.214 0.382 0.846
Ni4 0.382 0.214 0.346
Ni5 0.618 0.786 0.654
Ni6 0.786 0.618 0.154
Ni7 0.816 0.988 0.063
Ni8 0.988 0.816 0.563
Pd1 0.396 0.604 0.250
Pd2 0.604 0.396 0.750
N1 0.000 0.500 0.500
N2 0.500 0.000 0.000

The following is a simulated X-ray diffraction stick pattern of Ni3PdN. It was derived from a cell relaxed with PBE, using Cu Kα (weighted mean of Kα1 and Kα2).
No peak broadening, texture or thermal motion is included.

Peak list (8 most intense, 10° ≤ 2θ ≤ 90°, sorted by position)
d [Å]  I (rel.)
2.319  31
2.190  42
2.087  70
2.050  100
1.592  24
1.360  18
1.155  18
1.121  18

Cell: 5.315 4.748 4.380 Å, 90.00 90.00 90.00°
Atoms (fractional coordinates):
Ni1 0.000 0.161 0.000
Ni2 0.250 0.343 0.489
Ni3 0.250 0.657 0.989
Ni4 0.500 0.839 0.500
Ni5 0.750 0.343 0.489
Ni6 0.750 0.657 0.989
Pd1 0.000 0.859 0.489
Pd2 0.500 0.141 0.989
N1 0.000 0.471 0.759
N2 0.500 0.529 0.259

The following is a simulated X-ray diffraction stick pattern of NiPd2PtN. It was derived from a cell relaxed with PBE, using Cu Kα (weighted mean of Kα1 and Kα2).
No peak broadening, texture or thermal motion is included.

Peak list (8 most intense, 10° ≤ 2θ ≤ 90°, sorted by position)
d [Å]  I (rel.)
4.274  14
2.758  15
2.318  100
2.137  44
1.511  14
1.379  21
1.266  29
1.159  13

Cell: 4.274 4.274 3.611 Å, 90.00 90.00 90.00°
Atoms (fractional coordinates):
Ni1 0.000 0.000 0.000
Pd1 0.000 0.500 0.500
Pd2 0.500 0.000 0.500
Pt1 0.500 0.500 0.000
N1 0.000 0.000 0.500

The following is a simulated X-ray diffraction stick pattern of PmNiN. It was derived from a cell relaxed with PBE, using Cu Kα (weighted mean of Kα1 and Kα2).
No peak broadening, texture or thermal motion is included.

Peak list (8 most intense, 10° ≤ 2θ ≤ 90°, sorted by position)
d [Å]  I (rel.)
3.693  19
2.784  28
2.539  100
2.468  20
1.847  21
1.556  22
1.438  16
1.269  12

Cell: 5.568 3.495 4.935 Å, 90.00 90.00 90.00°
Atoms (fractional coordinates):
Pm1 0.250 0.000 0.233
Pm2 0.750 0.000 0.767
Ni1 0.250 0.500 0.748
Ni2 0.750 0.500 0.252
N1 0.000 0.500 0.000
N2 0.500 0.500 0.000

The following is a simulated X-ray diffraction stick pattern of PrPu2NiN4. It was derived from a cell relaxed with PBE, using Cu Kα (weighted mean of Kα1 and Kα2).
No peak broadening, texture or thermal motion is included.

Peak list (8 most intense, 10° ≤ 2θ ≤ 90°, sorted by position)
d [Å]  I (rel.)
3.155  100
2.868  91
2.821  56
2.500  29
2.489  33
2.329  66
2.117  28
1.881  30

Cell: 5.904 5.904 11.416 Å, 90.00 90.00 145.82°
Atoms (fractional coordinates):
Pr1 0.102 0.898 0.750
Pr2 0.898 0.102 0.250
Pu1 0.369 0.631 0.557
Pu2 0.369 0.631 0.943
Pu3 0.631 0.369 0.057
Pu4 0.631 0.369 0.443
Ni1 0.163 0.837 0.250
Ni2 0.837 0.163 0.750
N1 0.000 0.000 0.000
N2 0.000 0.000 0.500
N3 0.262 0.738 0.110
N4 0.262 0.738 0.390
N5 0.437 0.563 0.750
N6 0.563 0.437 0.250
N7 0.738 0.262 0.610
N8 0.738 0.262 0.890

The following is a simulated X-ray diffraction stick pattern of PrNi2SbN. It was derived from a cell relaxed with PBE, using Cu Kα (weighted mean of Kα1 and Kα2).
No peak broadening, texture or thermal motion is included.

Peak list (8 most intense, 10° ≤ 2θ ≤ 90°, sorted by position)
d [Å]  I (rel.)
2.814  37
2.758  50
2.571  90
2.520  100
2.321  64
1.868  33
1.776  31
1.548  33

Cell: 6.408 6.408 7.105 Å, 90.00 90.00 146.10°
Atoms (fractional coordinates):
Pr1 0.031 0.969 0.750
Pr2 0.969 0.031 0.250
Ni1 0.350 0.650 0.550
Ni2 0.350 0.650 0.950
Ni3 0.650 0.350 0.050
Ni4 0.650 0.350 0.450
Sb1 0.236 0.764 0.250
Sb2 0.764 0.236 0.750
N1 0.500 0.500 0.000
N2 0.500 0.500 0.500

The following is a simulated X-ray diffraction stick pattern of NiRuN. It was derived from a cell relaxed with PBE, using Cu Kα (weighted mean of Kα1 and Kα2).
No peak broadening, texture or thermal motion is included.

Peak list (8 most intense, 10° ≤ 2θ ≤ 90°, sorted by position)
d [Å]  I (rel.)
7.907  100
3.485  19
2.368  42
2.148  42
2.073  26
2.048  31
1.910  25
1.729  19

Cell: 2.688 3.573 15.814 Å, 90.00 90.00 90.00°
Atoms (fractional coordinates):
Ni1 0.000 0.000 0.000
Ni2 0.000 0.000 0.417
Ni3 0.500 0.500 0.500
Ni4 0.500 0.500 0.917
Ru1 0.000 0.000 0.165
Ru2 0.000 0.000 0.579
Ru3 0.500 0.500 0.079
Ru4 0.500 0.500 0.665
N1 0.000 0.500 0.761
N2 0.000 0.500 0.838
N3 0.500 0.000 0.261
N4 0.500 0.000 0.338

The following is a simulated X-ray diffraction stick pattern of NiRuN. It was derived from a cell relaxed with PBE, using Cu Kα (weighted mean of Kα1 and Kα2).
No peak broadening, texture or thermal motion is included.

Peak list (8 most intense, 10° ≤ 2θ ≤ 90°, sorted by position)
d [Å]  I (rel.)
2.200  88
2.180  100
1.923  56
1.883  21
1.847  23
1.332  33
1.159  24
1.151  21

Cell: 2.701 2.738 18.466 Å, 90.00 90.00 90.00°
Atoms (fractional coordinates):
Ni1 0.000 0.000 0.000
Ni2 0.000 0.000 0.409
Ni3 0.500 0.500 0.500
Ni4 0.500 0.500 0.909
Ru1 0.000 0.000 0.217
Ru2 0.000 0.000 0.816
Ru3 0.500 0.500 0.316
Ru4 0.500 0.500 0.717
N1 0.000 0.500 0.568
N2 0.000 0.500 0.634
N3 0.500 0.000 0.068
N4 0.500 0.000 0.134

The following is a simulated X-ray diffraction stick pattern of UNiSb2N. It was derived from a cell relaxed with PBE, using Cu Kα (weighted mean of Kα1 and Kα2).
No peak broadening, texture or thermal motion is included.

Peak list (8 most intense, 10° ≤ 2θ ≤ 90°, sorted by position)
d [Å]  I (rel.)
2.943  100
2.662  70
2.579  20
2.360  16
1.883  28
1.766  29
1.586  33
1.472  15

Cell: 3.765 3.765 14.160 Å, 90.00 90.00 90.00°
Atoms (fractional coordinates):
U1 0.250 0.250 0.084
U2 0.750 0.750 0.916
Ni1 0.250 0.250 0.605
Ni2 0.750 0.750 0.395
Sb1 0.250 0.250 0.422
Sb2 0.250 0.250 0.784
Sb3 0.750 0.750 0.216
Sb4 0.750 0.750 0.578
N1 0.250 0.750 0.000
N2 0.750 0.250 0.000

The following is a simulated X-ray diffraction stick pattern of ScNi3N. It was derived from a cell relaxed with PBE, using Cu Kα (weighted mean of Kα1 and Kα2).
No peak broadening, texture or thermal motion is included.

Peak list (8 most intense, 10° ≤ 2θ ≤ 90°, sorted by position)
d [Å]  I (rel.)
3.865  8
2.232  100
1.933  58
1.729  3
1.367  33
1.288  1
1.165  32
1.116  11

Cell: 3.865 3.865 3.865 Å, 90.00 90.00 90.00°
Atoms (fractional coordinates):
Sc1 0.000 0.000 0.000
Ni1 0.000 0.500 0.500
Ni2 0.500 0.000 0.500
Ni3 0.500 0.500 0.000
N1 0.500 0.500 0.500

The following is a simulated X-ray diffraction stick pattern of SiNiN2. It was derived from a cell relaxed with PBE, using Cu Kα (weighted mean of Kα1 and Kα2).
No peak broadening, texture or thermal motion is included.

Peak list (8 most intense, 10° ≤ 2θ ≤ 90°, sorted by position)
d [Å]  I (rel.)
2.696  40
2.583  34
2.477  55
2.368  100
2.290  30
1.512  27
1.408  32
1.291  23

Cell: 5.165 6.321 4.955 Å, 90.00 90.00 90.00°
Atoms (fractional coordinates):
Si1 0.073 0.124 0.000
Si2 0.427 0.624 0.500
Si3 0.573 0.376 0.000
Si4 0.927 0.876 0.500
Ni1 0.069 0.622 0.995
Ni2 0.431 0.122 0.495
Ni3 0.569 0.878 0.995
Ni4 0.931 0.378 0.495
N1 0.060 0.101 0.352
N2 0.105 0.653 0.400
N3 0.395 0.153 0.900
N4 0.440 0.601 0.852
N5 0.560 0.399 0.352
N6 0.605 0.847 0.400
N7 0.895 0.347 0.900
N8 0.940 0.899 0.852